Rb2BaNaSe: computed X-ray diffraction stick pattern (Cu Kα X-rays), based on a PBE-relaxed structure.

Structural model:
abc: 6.807 6.807 6.340
angles: 90.00 90.00 90.00
Atoms (fractional coordinates):
Rb (0.000, 0.500, 0.000)
Rb (0.500, 0.000, 0.000)
Ba (0.000, 0.000, 0.500)
Na (0.500, 0.500, 0.500)
Se (0.000, 0.000, 0.000)

Principal peaks in the range 2θ from 15° to 90°, low angle first:
d 3.833, 2θ = 23.20°, intensity 100
d 3.403, 2θ = 26.18°, intensity 100
d 3.170, 2θ = 28.15°, intensity 41
d 3.044, 2θ = 29.34°, intensity 31
d 2.874, 2θ = 31.12°, intensity 26
d 2.407, 2θ = 37.37°, intensity 38
d 2.320, 2θ = 38.82°, intensity 69
d 2.038, 2θ = 44.45°, intensity 35
d 1.917, 2θ = 47.43°, intensity 38
d 1.372, 2θ = 68.37°, intensity 25

=====

Ba7Na2Rh: computed X-ray diffraction stick pattern (Cu Kα X-rays), based on a PBE-relaxed structure.

Structural model:
abc: 10.719 10.719 14.099
angles: 125.18 125.18 58.08
Atoms (fractional coordinates):
Ba (0.095, 0.905, 0.750)
Ba (0.174, 0.570, 0.210)
Ba (0.210, 0.416, 0.481)
Ba (0.246, 0.570, 0.867)
Ba (0.416, 0.210, 0.981)
Ba (0.430, 0.754, 0.633)
Ba (0.430, 0.826, 0.290)
Ba (0.570, 0.174, 0.710)
Ba (0.570, 0.246, 0.367)
Ba (0.584, 0.790, 0.019)
Ba (0.754, 0.430, 0.133)
Ba (0.790, 0.584, 0.519)
Ba (0.826, 0.430, 0.790)
Ba (0.905, 0.095, 0.250)
Na (0.117, 0.161, 0.598)
Na (0.161, 0.117, 0.098)
Na (0.839, 0.883, 0.902)
Na (0.883, 0.839, 0.402)
Rh (0.418, 0.582, 0.750)
Rh (0.582, 0.418, 0.250)

Principal peaks in the range 2θ from 15° to 90°, low angle first:
d 3.839, 2θ = 23.17°, intensity 40
d 3.479, 2θ = 25.61°, intensity 100
d 3.447, 2θ = 25.85°, intensity 56
d 3.368, 2θ = 26.47°, intensity 73
d 3.336, 2θ = 26.72°, intensity 42
d 3.315, 2θ = 26.89°, intensity 55
d 3.302, 2θ = 27.01°, intensity 17
d 2.267, 2θ = 39.76°, intensity 20
d 2.150, 2θ = 42.03°, intensity 26
d 1.964, 2θ = 46.22°, intensity 26

=====

Ba6NaRh: computed X-ray diffraction stick pattern (Cu Kα X-rays), based on a PBE-relaxed structure.

Structural model:
abc: 8.212 8.214 9.085
angles: 89.98 63.13 60.03
Atoms (fractional coordinates):
Ba (0.062, 0.398, 0.227)
Ba (0.312, 0.789, 0.227)
Ba (0.330, 0.960, 0.772)
Ba (0.670, 0.040, 0.228)
Ba (0.688, 0.211, 0.773)
Ba (0.938, 0.602, 0.773)
Na (0.500, 0.500, 0.500)
Rh (0.500, 0.000, 0.000)

Principal peaks in the range 2θ from 15° to 90°, low angle first:
d 4.107, 2θ = 21.64°, intensity 10
d 3.876, 2θ = 22.94°, intensity 20
d 3.629, 2θ = 24.53°, intensity 100
d 2.822, 2θ = 31.70°, intensity 21
d 2.818, 2θ = 31.75°, intensity 21
d 2.620, 2θ = 34.23°, intensity 9
d 2.371, 2θ = 37.95°, intensity 23
d 2.187, 2θ = 41.28°, intensity 25
d 1.985, 2θ = 45.70°, intensity 12
d 1.501, 2θ = 61.83°, intensity 8

=====

Ba5Na2Rh2: computed X-ray diffraction stick pattern (Cu Kα X-rays), based on a PBE-relaxed structure.

Structural model:
abc: 11.050 11.050 8.639
angles: 90.00 90.00 46.26
Atoms (fractional coordinates):
Ba (0.000, 0.000, 0.000)
Ba (0.063, 0.735, 0.664)
Ba (0.235, 0.563, 0.164)
Ba (0.265, 0.937, 0.664)
Ba (0.437, 0.765, 0.164)
Ba (0.500, 0.500, 0.500)
Ba (0.563, 0.235, 0.836)
Ba (0.735, 0.063, 0.336)
Ba (0.765, 0.437, 0.836)
Ba (0.937, 0.265, 0.336)
Na (0.226, 0.226, 0.000)
Na (0.274, 0.274, 0.500)
Na (0.726, 0.726, 0.500)
Na (0.774, 0.774, 0.000)
Rh (0.134, 0.866, 0.368)
Rh (0.366, 0.634, 0.868)
Rh (0.634, 0.366, 0.132)
Rh (0.866, 0.134, 0.632)

Principal peaks in the range 2θ from 15° to 90°, low angle first:
d 3.359, 2θ = 26.54°, intensity 43
d 3.296, 2θ = 27.06°, intensity 62
d 3.083, 2θ = 28.96°, intensity 98
d 2.802, 2θ = 31.94°, intensity 100
d 2.719, 2θ = 32.94°, intensity 67
d 2.709, 2θ = 33.07°, intensity 65
d 2.551, 2θ = 35.18°, intensity 54
d 2.032, 2θ = 44.60°, intensity 46
d 1.824, 2θ = 50.00°, intensity 28
d 1.531, 2θ = 60.46°, intensity 39

=====

Ba8Na6Rh: computed X-ray diffraction stick pattern (Cu Kα X-rays), based on a PBE-relaxed structure.

Structural model:
abc: 6.940 11.292 11.297
angles: 60.04 89.90 89.95
Atoms (fractional coordinates):
Ba (0.238, 0.167, 0.167)
Ba (0.240, 0.285, 0.734)
Ba (0.240, 0.734, 0.481)
Ba (0.241, 0.481, 0.285)
Ba (0.759, 0.519, 0.715)
Ba (0.760, 0.266, 0.519)
Ba (0.760, 0.715, 0.266)
Ba (0.762, 0.833, 0.833)
Na (0.257, 0.591, 0.889)
Na (0.257, 0.889, 0.019)
Na (0.258, 0.019, 0.592)
Na (0.742, 0.981, 0.408)
Na (0.743, 0.111, 0.981)
Na (0.743, 0.409, 0.111)
Rh (0.000, 0.500, 0.500)

Principal peaks in the range 2θ from 15° to 90°, low angle first:
d 5.658, 2θ = 15.66°, intensity 24
d 4.381, 2θ = 20.27°, intensity 28
d 3.698, 2θ = 24.07°, intensity 17
d 3.470, 2θ = 25.67°, intensity 21
d 3.263, 2θ = 27.33°, intensity 100
d 2.530, 2θ = 35.48°, intensity 36
d 2.135, 2θ = 42.33°, intensity 28
d 1.961, 2θ = 46.29°, intensity 23
d 1.818, 2θ = 50.17°, intensity 17
d 1.787, 2θ = 51.13°, intensity 12

=====

Ba7Na2Rh2: computed X-ray diffraction stick pattern (Cu Kα X-rays), based on a PBE-relaxed structure.

Structural model:
abc: 11.594 11.594 11.594
angles: 158.82 70.63 113.53
Atoms (fractional coordinates):
Ba (0.000, 0.000, 0.000)
Ba (0.025, 0.675, 0.350)
Ba (0.310, 0.497, 0.813)
Ba (0.325, 0.675, 0.650)
Ba (0.673, 0.320, 0.352)
Ba (0.684, 0.497, 0.187)
Ba (0.968, 0.320, 0.648)
Na (0.341, 0.341, 0.000)
Na (0.586, 0.086, 0.500)
Rh (0.175, 0.996, 0.179)
Rh (0.818, 0.996, 0.821)

Principal peaks in the range 2θ from 15° to 90°, low angle first:
d 3.517, 2θ = 25.33°, intensity 78
d 3.479, 2θ = 25.61°, intensity 81
d 3.154, 2θ = 28.30°, intensity 60
d 3.086, 2θ = 28.93°, intensity 100
d 3.005, 2θ = 29.73°, intensity 47
d 2.828, 2θ = 31.63°, intensity 38
d 2.585, 2θ = 34.71°, intensity 38
d 2.523, 2θ = 35.59°, intensity 32
d 2.175, 2θ = 41.52°, intensity 27
d 2.130, 2θ = 42.44°, intensity 35